[1]
This entry pairs a crystal structure of Tm4B6O15 with its computed XRD peak list. Radiation: a wavelength of 1.5418 Å. Structure: a DFT-relaxed cell (PBE, Alexandria).

Main lines, most intense first (2θ = 10–80°):
(hkl)	two_theta	I/Imax
4 0 0	30.9	100
1 1 1	22.4	56
1 1 5	33.1	49
1 1 -5	31.9	48
2 0 -4	23.2	34
2 0 4	25.9	27
5 1 5	53.2	24
0 2 0	41.2	22
2 0 -6	31.2	22
5 1 -5	48.7	20
1 1 -9	48.5	18
3 1 1	31.7	15

Cell and atoms:
Lattice parameters (Å, degrees): 11.6261 4.3784 18.7331 90.00 96.26 90.00
Space group C2/c (No. 15)
Inequivalent atoms, fractional coordinates:
Tm (0.1350, 0.1966, 0.0997) [8 per cell]
Tm (0.1369, 0.2076, 0.3026) [8 per cell]
B (0.0689, 0.2730, 0.6943) [8 per cell]
B (0.0963, 0.2945, 0.9128) [8 per cell]
B (0.1689, 0.1898, 0.4744) [8 per cell]
O (0.0000, 0.1319, 0.7500) [4 per cell]
O (0.0155, 0.1753, 0.6211) [8 per cell]
O (0.0667, 0.3995, 0.1969) [8 per cell]
O (0.0845, 0.3708, 0.4287) [8 per cell]
O (0.1267, 0.1224, 0.9800) [8 per cell]
O (0.1806, 0.2552, 0.8610) [8 per cell]
O (0.1833, 0.1322, 0.7038) [8 per cell]
O (0.2082, 0.2989, 0.5497) [8 per cell]

***

[2]
This entry pairs a crystal structure of NaCd4Hg4 with its computed XRD peak list. Radiation: a wavelength of 1.5418 Å. Structure: a DFT-relaxed cell (PBE, Alexandria).

Main lines, most intense first (2θ = 10–80°):
(hkl)	two_theta	I/Imax
3 0 1	33.9	100
3 3 0	38.4	36
6 3 1	66.6	28
3 3 2	57.6	22
0 0 2	41.2	15
1 0 1	22.2	12
6 0 0	55.4	12
3 0 3	70.5	12
6 0 2	71.4	11
2 0 0	17.8	8
3 1 0	28.4	7
3 2 1	38.6	5

Cell and atoms:
Lattice parameters (Å, degrees): 9.9497 9.9497 4.3786 90.00 90.00 90.00
Space group I4/mmm (No. 139)
Inequivalent atoms, fractional coordinates:
Na (0.0000, 0.0000, 0.0000) [2 per cell]
Cd (0.0000, 0.3364, 0.0000) [8 per cell]
Hg (0.1656, 0.1656, 0.5000) [8 per cell]

***

[3]
This entry pairs a crystal structure of Ac6P3Se2I with its computed XRD peak list. Radiation: a wavelength of 1.5418 Å. Structure: a DFT-relaxed cell (PBE, Alexandria).

Main lines, most intense first (2θ = 10–80°):
(hkl)	two_theta	I/Imax
1 1 -2	28.0	100
3 1 0	24.4	43
5 1 2	40.5	26
7 1 -2	39.6	23
6 2 0	50.1	14
0 2 0	40.6	13
4 0 -2	23.7	13
2 0 -4	39.5	11
2 2 -4	57.9	11
4 2 -2	47.5	9
7 3 -2	73.2	9
8 2 -4	65.0	8

Cell and atoms:
Lattice parameters (Å, degrees): 19.7705 4.4456 9.1290 90.00 105.01 90.00
Space group C2/m (No. 12)
Inequivalent atoms, fractional coordinates:
Ac (0.0042, 0.0000, 0.2207) [4 per cell]
Ac (0.1630, 0.5000, 0.0938) [4 per cell]
Ac (0.1780, 0.5000, 0.5760) [4 per cell]
P (0.0000, 0.5000, 0.0000) [2 per cell]
P (0.1645, 0.0000, 0.3324) [4 per cell]
Se (0.1662, 0.0000, 0.8314) [4 per cell]
I (0.0000, 0.5000, 0.5000) [2 per cell]

***

[4]
This entry pairs a crystal structure of TbDyMgRu with its computed XRD peak list. Radiation: a wavelength of 1.5418 Å. Structure: a DFT-relaxed cell (PBE, Alexandria).

Main lines, most intense first (2θ = 10–80°):
(hkl)	two_theta	I/Imax
1 0 2	34.1	100
0 0 1	10.9	67
1 1 0	36.9	52
1 0 3	42.5	36
2 1 2	64.7	31
1 0 0	25.8	23
2 0 0	53.1	18
2 1 3	70.3	16
1 1 5	69.6	13
1 1 1	38.6	13
0 0 2	21.9	9
1 1 4	59.3	8

Cell and atoms:
Lattice parameters (Å, degrees): 3.4480 3.4480 8.1103 90.00 90.00 90.00
Space group P4mm (No. 99)
Inequivalent atoms, fractional coordinates:
Tb (0.0000, 0.0000, 0.0000) [1 per cell]
Dy (0.0000, 0.0000, 0.5923) [1 per cell]
Mg (0.5000, 0.5000, 0.2982) [1 per cell]
Ru (0.5000, 0.5000, 0.7947) [1 per cell]

***

[5]
This entry pairs a crystal structure of InSiGe with its computed XRD peak list. Radiation: a wavelength of 1.5418 Å. Structure: a DFT-relaxed cell (PBE, Alexandria).

Main lines, most intense first (2θ = 10–80°):
(hkl)	two_theta	I/Imax
0 1 2	28.0	100
1 1 0	25.2	85
1 0 1	25.1	83
1 2 0	36.1	60
0 2 2	40.8	56
2 1 1	46.1	51
0 0 4	48.2	51
0 1 1	20.0	48
0 0 1	11.7	46
1 -1 1	35.8	41
1 1 3	37.9	40
0 2 -1	38.5	39

Cell and atoms:
Lattice parameters (Å, degrees): 3.9379 5.4582 7.8443 79.63 75.56 69.36
Space group P1 (No. 1)
Inequivalent atoms, fractional coordinates:
In (0.0000, 0.0000, 0.0000) [1 per cell]
In (0.4710, 0.3053, 0.7557) [1 per cell]
Si (0.7043, 0.3163, 0.2653) [1 per cell]
Si (0.7952, 0.9304, 0.4689) [1 per cell]
Ge (0.0746, 0.5894, 0.2576) [1 per cell]
Ge (0.2472, 0.8395, 0.6546) [1 per cell]

***

[6]
This entry pairs a crystal structure of Dy8ZnC4 with its computed XRD peak list. Radiation: a wavelength of 1.5418 Å. Structure: a DFT-relaxed cell (PBE, Alexandria).

Main lines, most intense first (2θ = 10–80°):
(hkl)	two_theta	I/Imax
3 1 0	32.4	100
3 1 -3	33.2	75
6 0 -3	30.6	48
1 1 4	52.8	25
4 0 1	35.6	21
0 0 3	30.2	19
0 2 0	50.4	18
7 1 1	63.7	16
1 1 -2	29.5	15
6 2 -3	60.1	15
9 1 -6	56.6	13
9 1 -3	55.0	13

Cell and atoms:
Lattice parameters (Å, degrees): 17.5406 3.6242 12.1367 90.00 132.89 90.00
Space group Cm (No. 8)
Inequivalent atoms, fractional coordinates:
Dy (0.0000, 0.0000, 0.0000) [2 per cell]
Dy (0.0159, 0.0000, 0.7368) [2 per cell]
Dy (0.0524, 0.0000, 0.4561) [2 per cell]
Dy (0.1646, 0.5000, 0.3481) [2 per cell]
Dy (0.2013, 0.5000, 0.0677) [2 per cell]
Dy (0.2170, 0.5000, 0.8042) [2 per cell]
Dy (0.3147, 0.0000, 0.6773) [2 per cell]
Dy (0.4023, 0.0000, 0.1269) [2 per cell]
Zn (0.3590, 0.0000, 0.4024) [2 per cell]
C (0.0100, 0.5000, 0.8708) [2 per cell]
C (0.0311, 0.0000, 0.2337) [2 per cell]
C (0.1860, 0.5000, 0.5705) [2 per cell]
C (0.2071, 0.0000, 0.9336) [2 per cell]

***

[7]
This entry pairs a crystal structure of MnNiH4 with its computed XRD peak list. Radiation: a wavelength of 1.5418 Å. Structure: a DFT-relaxed cell (PBE, Alexandria).

Main lines, most intense first (2θ = 10–80°):
(hkl)	two_theta	I/Imax
1 0 0	33.4	100
1 0 2	50.1	59
0 0 2	36.2	36
1 1 0	47.9	32
1 1 2	61.5	32
2 1 0	79.9	13
2 0 0	70.1	10
0 0 4	76.9	4
0 0 1	17.9	1
1 0 1	38.1	1

Cell and atoms:
Lattice parameters (Å, degrees): 2.6845 2.6845 4.9616 90.00 90.00 90.00
Space group P4/mmm (No. 123)
Inequivalent atoms, fractional coordinates:
Mn (0.0000, 0.0000, 0.0000) [1 per cell]
Ni (0.0000, 0.0000, 0.5000) [1 per cell]
H (0.0000, 0.5000, 0.2481) [4 per cell]

***

[8]
This entry pairs a crystal structure of Ac2Sn3Rh with its computed XRD peak list. Radiation: a wavelength of 1.5418 Å. Structure: a DFT-relaxed cell (PBE, Alexandria).

Main lines, most intense first (2θ = 10–80°):
(hkl)	two_theta	I/Imax
1 1 1	29.1	100
1 0 2	29.4	48
0 1 3	38.0	40
2 1 3	56.0	27
1 2 2	48.2	25
0 2 0	37.3	24
2 0 0	39.6	21
2 2 0	55.5	16
1 3 1	62.3	12
3 1 1	65.4	10
0 1 1	21.4	10
1 0 4	48.9	9

Cell and atoms:
Lattice parameters (Å, degrees): 4.5552 4.8245 8.1666 90.00 90.00 90.00
Space group Pmm2 (No. 25)
Inequivalent atoms, fractional coordinates:
Ac (0.0000, 0.0000, 0.0000) [1 per cell]
Ac (0.0000, 0.5000, 0.4618) [1 per cell]
Sn (0.5000, 0.0000, 0.6115) [1 per cell]
Sn (0.5000, 0.5000, 0.1557) [1 per cell]
Sn (0.5000, 0.5000, 0.8057) [1 per cell]
Rh (0.5000, 0.0000, 0.2878) [1 per cell]

***

[9]
This entry pairs a crystal structure of Ca2SiAu5 with its computed XRD peak list. Radiation: a wavelength of 1.5418 Å. Structure: a DFT-relaxed cell (PBE, Alexandria).

Main lines, most intense first (2θ = 10–80°):
(hkl)	two_theta	I/Imax
2 0 2	34.1	100
0 0 2	18.0	44
2 2 0	41.0	37
2 0 4	47.1	27
0 1 1	16.8	27
0 0 6	56.1	22
2 0 0	28.7	18
2 2 2	45.1	18
0 0 4	36.5	15
2 2 6	71.8	13
4 2 2	70.3	12
2 4 2	70.2	12

Cell and atoms:
Lattice parameters (Å, degrees): 6.2192 6.2384 9.8380 90.00 90.00 90.00
Space group Imm2 (No. 44)
Inequivalent atoms, fractional coordinates:
Ca (0.0000, 0.0000, 0.0000) [2 per cell]
Ca (0.0000, 0.0000, 0.4977) [2 per cell]
Si (0.0000, 0.5000, 0.8426) [2 per cell]
Au (0.0000, 0.5000, 0.0801) [2 per cell]
Au (0.2421, 0.2593, 0.2574) [8 per cell]

***

[10]
This entry pairs a crystal structure of La4SiBr2F with its computed XRD peak list. Radiation: a wavelength of 1.5418 Å. Structure: a DFT-relaxed cell (PBE, Alexandria).

Main lines, most intense first (2θ = 10–80°):
(hkl)	two_theta	I/Imax
1 1 1	29.7	100
2 0 -2	29.9	46
3 1 -1	44.5	33
1 1 -3	40.8	31
1 1 -1	26.1	26
0 2 0	43.4	19
1 1 -2	31.9	18
2 2 -2	53.6	17
2 0 2	41.5	16
0 0 3	36.1	13
2 0 0	26.7	12
0 0 2	23.8	11

Cell and atoms:
Lattice parameters (Å, degrees): 7.0099 4.1675 7.8468 90.00 108.01 90.00
Space group P2/m (No. 10)
Inequivalent atoms, fractional coordinates:
La (0.2299, 0.0000, 0.2114) [2 per cell]
La (0.2454, 0.5000, 0.7889) [2 per cell]
Si (0.5000, 0.0000, 0.0000) [1 per cell]
Br (0.0000, 0.0000, 0.5000) [1 per cell]
Br (0.5000, 0.5000, 0.5000) [1 per cell]
F (0.0000, 0.5000, 0.0000) [1 per cell]

***

[11]
This entry pairs a crystal structure of KBa2Na2 with its computed XRD peak list. Radiation: a wavelength of 1.5418 Å. Structure: a DFT-relaxed cell (PBE, Alexandria).

Main lines, most intense first (2θ = 10–80°):
(hkl)	two_theta	I/Imax
2 1 1	26.9	100
2 1 0	17.3	65
3 1 0	24.5	52
1 1 0	10.9	32
0 0 1	20.5	30
3 2 1	35.0	29
3 1 1	32.2	29
5 2 1	47.5	29
3 2 0	28.0	22
2 1 2	45.4	21
4 0 0	31.2	20
4 0 2	52.9	20

Cell and atoms:
Lattice parameters (Å, degrees): 11.4782 11.4782 4.3352 90.00 90.00 90.00
Space group P4/mbm (No. 127)
Inequivalent atoms, fractional coordinates:
K (0.0000, 0.0000, 0.0000) [2 per cell]
Ba (0.1311, 0.3689, 0.0000) [4 per cell]
Na (0.1625, 0.6625, 0.5000) [4 per cell]

***

[12]
This entry pairs a crystal structure of BaP2H4O8 with its computed XRD peak list. Radiation: a wavelength of 1.5418 Å. Structure: a DFT-relaxed cell (PBE, Alexandria).

Main lines, most intense first (2θ = 10–80°):
(hkl)	two_theta	I/Imax
1 1 0	14.1	100
1 3 0	27.3	85
1 0 2	23.5	64
0 3 2	32.3	50
3 0 2	40.7	46
2 2 0	28.3	45
2 1 2	32.1	44
3 2 2	44.1	36
0 1 2	22.1	35
2 3 2	40.0	32
1 2 2	28.8	32
1 2 1	22.5	32

Cell and atoms:
Lattice parameters (Å, degrees): 7.7404 10.8256 8.6816 90.00 90.00 90.00
Space group Pccn (No. 56)
Inequivalent atoms, fractional coordinates:
Ba (0.2500, 0.2500, 0.1022) [4 per cell]
P (0.0738, 0.5797, 0.2079) [8 per cell]
H (0.0852, 0.5752, 0.7073) [8 per cell]
H (0.1753, 0.6146, 0.4547) [8 per cell]
O (0.0326, 0.0628, 0.7391) [8 per cell]
O (0.0795, 0.1458, 0.3625) [8 per cell]
O (0.0914, 0.6441, 0.3730) [8 per cell]
O (0.2441, 0.5789, 0.1200) [8 per cell]